(1)
Na5Fe2P2C2O14: calculated X-ray powder pattern (copper Kα), based on a structure optimized by DFT (GGA+U).

Peak list (10 most intense, 15° ≤ 2θ ≤ 90°, in order of falling intensity)
2theta, I/Imax, hkl
33.51, 100, 2 2 -2
26.90, 88, 0 2 0
19.57, 71, 0 0 2
34.17, 54, 2 0 2
16.59, 36, 1 1 -1
42.04, 36, 0 1 4
25.97, 26, 1 0 -3
55.45, 25, 0 4 0
48.84, 23, 4 2 -4
34.28, 22, 2 0 -4

Cell and atoms:
abc: 10.412 6.629 10.463
angles: 90.00 119.63 90.00
Space group P2_1 (No. 4)
Asymmetric unit:
Na (0.006, 0.000, 0.242) [2 per cell]
Na (0.152, 0.762, 0.574) [2 per cell]
Na (0.332, 0.255, 0.917) [2 per cell]
Na (0.493, 0.014, 0.256) [2 per cell]
Na (0.493, 0.512, 0.256) [2 per cell]
Fe (0.206, 0.769, 0.057) [2 per cell]
Fe (0.278, 0.273, 0.430) [2 per cell]
P (0.148, 0.265, 0.067) [2 per cell]
P (0.360, 0.764, 0.441) [2 per cell]
C (0.172, 0.264, 0.603) [2 per cell]
C (0.339, 0.757, 0.897) [2 per cell]
O (0.015, 0.776, 0.060) [2 per cell]
O (0.092, 0.249, 0.461) [2 per cell]
O (0.112, 0.282, 0.684) [2 per cell]
O (0.147, 0.256, 0.214) [2 per cell]
O (0.197, 0.744, 0.842) [2 per cell]
O (0.231, 0.078, 0.052) [2 per cell]
O (0.234, 0.452, 0.057) [2 per cell]
O (0.277, 0.951, 0.454) [2 per cell]
O (0.287, 0.575, 0.466) [2 per cell]
O (0.316, 0.262, 0.659) [2 per cell]
O (0.357, 0.760, 0.291) [2 per cell]
O (0.398, 0.763, 0.813) [2 per cell]
O (0.420, 0.767, 0.040) [2 per cell]
O (0.476, 0.270, 0.430) [2 per cell]

(2)
Na2FePCO7: calculated X-ray powder pattern (copper Kα), based on a structure optimized by DFT (GGA+U).

Peak list (10 most intense, 15° ≤ 2θ ≤ 90°, in order of falling intensity)
2theta, I/Imax, hkl
19.64, 100, 1 0 -2
27.29, 96, 0 2 0
34.24, 43, 0 0 4
33.85, 42, 1 2 -2
16.80, 31, 1 1 0
33.97, 28, 2 2 0
26.13, 26, 2 0 -2
42.24, 23, 2 1 -4
29.65, 21, 2 1 2
37.37, 20, 3 1 2

Cell and atoms:
abc: 8.953 6.535 10.474
angles: 90.00 90.25 90.00
Space group P2_1/c (No. 14)
Asymmetric unit:
Na (0.080, 0.240, 0.118) [4 per cell]
Na (0.263, 0.013, 0.374) [4 per cell]
Fe (0.346, 0.744, 0.608) [4 per cell]
P (0.424, 0.248, 0.646) [4 per cell]
C (0.065, 0.744, 0.135) [4 per cell]
O (0.076, 0.238, 0.351) [4 per cell]
O (0.128, 0.735, 0.022) [4 per cell]
O (0.157, 0.737, 0.732) [4 per cell]
O (0.324, 0.061, 0.611) [4 per cell]
O (0.324, 0.062, 0.121) [4 per cell]
O (0.431, 0.747, 0.934) [4 per cell]
O (0.468, 0.249, 0.790) [4 per cell]

(3)
Na5Fe2P2C2O14: calculated X-ray powder pattern (copper Kα), based on a structure optimized by DFT (GGA+U).

Peak list (10 most intense, 15° ≤ 2θ ≤ 90°, in order of falling intensity)
2theta, I/Imax, hkl
26.91, 100, 0 2 0
33.90, 61, 2 0 0
34.11, 46, 1 0 6
33.69, 46, 1 -2 2
19.61, 44, 1 0 -2
19.32, 42, 1 0 2
33.05, 40, 0 2 4
25.77, 32, 1 0 4
55.47, 26, 0 4 0
41.85, 24, 2 -1 4

Cell and atoms:
abc: 5.289 6.630 18.017
angles: 88.16 89.02 89.78
Space group P1 (No. 1)
Asymmetric unit:
Na (0.000, 0.000, 0.000) [1 per cell]
Na (0.001, 0.278, 0.329) [1 per cell]
Na (0.002, 0.028, 0.494) [1 per cell]
Na (0.501, 0.021, 0.733) [1 per cell]
Na (0.502, 0.493, 0.730) [1 per cell]
Na (0.506, 0.511, 0.235) [1 per cell]
Na (0.507, 0.001, 0.238) [1 per cell]
Na (0.522, 0.742, 0.411) [1 per cell]
Na (0.530, 0.749, 0.912) [1 per cell]
Na (0.997, 0.272, 0.830) [1 per cell]
Fe (0.532, 0.279, 0.537) [1 per cell]
Fe (0.538, 0.282, 0.039) [1 per cell]
Fe (0.971, 0.759, 0.690) [1 per cell]
Fe (0.980, 0.760, 0.190) [1 per cell]
P (0.035, 0.260, 0.154) [1 per cell]
P (0.039, 0.259, 0.658) [1 per cell]
P (0.461, 0.772, 0.075) [1 per cell]
P (0.470, 0.773, 0.577) [1 per cell]
C (0.032, 0.768, 0.335) [1 per cell]
C (0.034, 0.770, 0.830) [1 per cell]
C (0.482, 0.259, 0.393) [1 per cell]
C (0.483, 0.262, 0.899) [1 per cell]
O (0.059, 0.803, 0.403) [1 per cell]
O (0.071, 0.807, 0.897) [1 per cell]
O (0.174, 0.784, 0.088) [1 per cell]
O (0.186, 0.786, 0.604) [1 per cell]
O (0.222, 0.750, 0.781) [1 per cell]
O (0.231, 0.747, 0.290) [1 per cell]
O (0.282, 0.262, 0.435) [1 per cell]
O (0.289, 0.265, 0.944) [1 per cell]
O (0.323, 0.263, 0.130) [1 per cell]
O (0.331, 0.262, 0.647) [1 per cell]
O (0.457, 0.254, 0.828) [1 per cell]
O (0.463, 0.253, 0.321) [1 per cell]
O (0.517, 0.586, 0.532) [1 per cell]
O (0.528, 0.581, 0.028) [1 per cell]
O (0.536, 0.960, 0.529) [1 per cell]
O (0.545, 0.958, 0.023) [1 per cell]
O (0.603, 0.766, 0.149) [1 per cell]
O (0.625, 0.766, 0.652) [1 per cell]
O (0.703, 0.266, 0.423) [1 per cell]
O (0.705, 0.272, 0.928) [1 per cell]
O (0.806, 0.750, 0.802) [1 per cell]
O (0.808, 0.751, 0.305) [1 per cell]
O (0.875, 0.255, 0.083) [1 per cell]
O (0.898, 0.253, 0.586) [1 per cell]
O (0.959, 0.448, 0.706) [1 per cell]
O (0.967, 0.072, 0.712) [1 per cell]
O (0.974, 0.445, 0.201) [1 per cell]
O (0.985, 0.073, 0.206) [1 per cell]

(4)
Na2FePCO7: calculated X-ray powder pattern (copper Kα), based on a structure optimized by DFT (GGA+U).

Peak list (10 most intense, 15° ≤ 2θ ≤ 90°, in order of falling intensity)
2theta, I/Imax, hkl
27.28, 100, 2 -2 0
34.23, 55, 2 2 -2
19.56, 53, 1 1 0
19.71, 51, 1 1 -2
33.71, 34, 2 -2 2
26.05, 27, 1 1 1
29.85, 21, 2 0 -3
56.29, 20, 4 -4 0
16.67, 19, 1 -1 1
34.41, 18, 1 1 2

Cell and atoms:
abc: 8.362 8.391 10.349
angles: 108.78 107.54 102.61
Space group P1 (No. 1)
Asymmetric unit:
Na (0.000, 0.000, 0.000) [1 per cell]
Na (0.002, 0.031, 0.531) [1 per cell]
Na (0.044, 0.310, 0.345) [1 per cell]
Na (0.272, 0.762, 0.532) [1 per cell]
Na (0.469, 0.210, 0.190) [1 per cell]
Na (0.498, 0.495, 0.999) [1 per cell]
Na (0.540, 0.816, 0.344) [1 per cell]
Na (0.957, 0.699, 0.176) [1 per cell]
Fe (0.053, 0.327, 0.917) [1 per cell]
Fe (0.450, 0.210, 0.606) [1 per cell]
Fe (0.553, 0.827, 0.918) [1 per cell]
Fe (0.929, 0.689, 0.609) [1 per cell]
P (0.193, 0.452, 0.687) [1 per cell]
P (0.305, 0.070, 0.837) [1 per cell]
P (0.692, 0.953, 0.687) [1 per cell]
P (0.807, 0.571, 0.841) [1 per cell]
C (0.229, 0.486, 0.198) [1 per cell]
C (0.263, 0.027, 0.326) [1 per cell]
C (0.733, 0.982, 0.198) [1 per cell]
C (0.775, 0.539, 0.328) [1 per cell]
O (0.071, 0.333, 0.733) [1 per cell]
O (0.086, 0.340, 0.136) [1 per cell]
O (0.088, 0.536, 0.593) [1 per cell]
O (0.154, 0.914, 0.692) [1 per cell]
O (0.173, 0.951, 0.186) [1 per cell]
O (0.216, 0.972, 0.419) [1 per cell]
O (0.228, 0.180, 0.938) [1 per cell]
O (0.256, 0.326, 0.581) [1 per cell]
O (0.282, 0.534, 0.105) [1 per cell]
O (0.306, 0.578, 0.338) [1 per cell]
O (0.351, 0.598, 0.830) [1 per cell]
O (0.412, 0.167, 0.389) [1 per cell]
O (0.420, 0.194, 0.790) [1 per cell]
O (0.421, 0.997, 0.935) [1 per cell]
O (0.570, 0.020, 0.588) [1 per cell]
O (0.573, 0.830, 0.733) [1 per cell]
O (0.586, 0.841, 0.135) [1 per cell]
O (0.660, 0.420, 0.696) [1 per cell]
O (0.686, 0.463, 0.188) [1 per cell]
O (0.728, 0.482, 0.420) [1 per cell]
O (0.731, 0.682, 0.942) [1 per cell]
O (0.771, 0.844, 0.586) [1 per cell]
O (0.780, 0.036, 0.105) [1 per cell]
O (0.821, 0.061, 0.338) [1 per cell]
O (0.845, 0.104, 0.831) [1 per cell]
O (0.924, 0.500, 0.938) [1 per cell]
O (0.924, 0.680, 0.392) [1 per cell]
O (0.927, 0.701, 0.800) [1 per cell]

(5)
Na5Fe2P2C2O14: calculated X-ray powder pattern (copper Kα), based on a structure optimized by DFT (GGA+U).

Peak list (10 most intense, 15° ≤ 2θ ≤ 90°, in order of falling intensity)
2theta, I/Imax, hkl
26.84, 100, 0 2 0
33.43, 65, 0 2 2
34.14, 59, 2 0 2
33.52, 46, 2 2 -2
41.98, 40, 0 1 4
16.58, 40, 1 1 -1
19.50, 39, 0 0 2
19.63, 38, 2 0 0
55.30, 30, 0 4 0
25.97, 29, 1 0 -3

Cell and atoms:
abc: 10.391 6.644 10.460
angles: 90.00 119.49 90.00
Space group P2_1 (No. 4)
Asymmetric unit:
Na (0.090, 0.000, 0.165) [2 per cell]
Na (0.252, 0.751, 0.512) [2 per cell]
Na (0.254, 0.248, 0.514) [2 per cell]
Na (0.265, 0.269, 0.997) [2 per cell]
Na (0.407, 0.509, 0.319) [2 per cell]
Fe (0.039, 0.995, 0.686) [2 per cell]
Fe (0.472, 0.492, 0.824) [2 per cell]
P (0.102, 0.498, 0.683) [2 per cell]
P (0.391, 0.000, 0.810) [2 per cell]
C (0.082, 0.496, 0.153) [2 per cell]
C (0.416, 0.007, 0.360) [2 per cell]
O (0.015, 0.310, 0.690) [2 per cell]
O (0.016, 0.686, 0.691) [2 per cell]
O (0.061, 0.013, 0.897) [2 per cell]
O (0.102, 0.499, 0.532) [2 per cell]
O (0.137, 0.480, 0.070) [2 per cell]
O (0.164, 0.495, 0.297) [2 per cell]
O (0.222, 0.990, 0.680) [2 per cell]
O (0.262, 0.491, 0.807) [2 per cell]
O (0.338, 0.017, 0.218) [2 per cell]
O (0.352, 0.999, 0.440) [2 per cell]
O (0.389, 0.014, 0.955) [2 per cell]
O (0.441, 0.503, 0.578) [2 per cell]
O (0.459, 0.185, 0.775) [2 per cell]
O (0.472, 0.814, 0.795) [2 per cell]